[1]
Calculated powder diffractogram of Zr4CuS8 for Cu Kα, 1.54184 Å, from a structure optimized by DFT (GGA-PBE).
Neutral-atom scattering factors, no anomalous dispersion.

Largest 8 diffraction maxima, by angle, 2θ = 10–90°:
2θ (°)	Rel. int.
14.61	68
28.19	100
34.16	85
44.85	41
49.08	88
61.15	19
68.66	20
82.10	24

Structural model:
```
Zr4CuS8
1.0
0.000 5.250 5.250
5.250 0.000 5.250
5.250 5.250 0.000
Zr Cu S
4 1 8
Direct
0.123 0.123 0.123
0.123 0.123 0.632
0.123 0.632 0.123
0.632 0.123 0.123
0.500 0.500 0.500
0.364 0.879 0.879
0.372 0.372 0.372
0.372 0.372 0.883
0.372 0.883 0.372
0.879 0.364 0.879
0.879 0.879 0.364
0.879 0.879 0.879
0.883 0.372 0.372
```

=====

[2]
Calculated powder diffractogram of Pd7O8 for Cu Kα, 1.54184 Å, from a structure optimized by DFT (GGA-PBE).
Neutral-atom scattering factors, no anomalous dispersion.

Largest 8 diffraction maxima, by angle, 2θ = 10–90°:
2θ (°)	Rel. int.
15.39	13
34.85	100
38.30	41
55.28	19
57.75	25
60.15	22
64.79	15
75.72	20

Structural model:
```
Pd7O8
1.0
5.756 0.000 0.000
0.000 5.756 0.000
0.000 0.000 5.756
Pd O
7 8
Direct
0.000 0.000 0.000
0.000 0.256 0.500
0.000 0.744 0.500
0.256 0.500 0.000
0.500 0.000 0.256
0.500 0.000 0.744
0.744 0.500 0.000
0.235 0.235 0.235
0.235 0.235 0.765
0.235 0.765 0.235
0.235 0.765 0.765
0.765 0.235 0.235
0.765 0.235 0.765
0.765 0.765 0.235
0.765 0.765 0.765
```

=====

[3]
Calculated powder diffractogram of PtC8N6 for Cu Kα, 1.54184 Å, from a structure optimized by DFT (GGA-PBE).
Neutral-atom scattering factors, no anomalous dispersion.

Largest 8 diffraction maxima, by angle, 2θ = 10–90°:
2θ (°)	Rel. int.
12.99	100
14.76	56
16.86	35
17.57	42
18.58	49
19.84	43
21.65	68
27.32	36

Structural model:
```
PtC8N6
1.0
5.544 -13.426 0.000
5.544 13.426 0.000
-2.003 0.000 6.000
Pt C N
3 24 18
Direct
0.000 0.000 0.000
0.382 0.707 0.168
0.707 0.382 0.168
0.002 0.372 0.349
0.022 0.713 0.880
0.049 0.827 0.932
0.070 0.690 0.722
0.123 0.473 0.297
0.224 0.224 0.807
0.300 0.992 0.494
0.314 0.314 0.697
0.318 0.408 0.642
0.351 0.893 0.268
0.372 0.002 0.349
0.408 0.318 0.642
0.473 0.123 0.297
0.527 0.620 0.159
0.613 0.931 0.979
0.620 0.527 0.159
0.627 0.627 0.150
0.690 0.070 0.722
0.713 0.022 0.880
0.746 0.746 0.114
0.827 0.049 0.932
0.893 0.351 0.268
0.931 0.613 0.979
0.992 0.300 0.494
0.065 0.919 0.994
0.106 0.668 0.591
0.154 0.154 0.913
0.222 0.557 0.250
0.239 0.981 0.612
0.329 0.491 0.598
0.331 0.801 0.188
0.456 0.634 0.162
0.491 0.329 0.598
0.533 0.854 0.065
0.557 0.222 0.250
0.634 0.456 0.162
0.668 0.106 0.591
0.801 0.331 0.188
0.844 0.844 0.084
0.854 0.533 0.065
0.919 0.065 0.994
0.981 0.239 0.612
```

=====

[4]
Calculated powder diffractogram of Nd4Si3S12 for Cu Kα, 1.54184 Å, from a structure optimized by DFT (GGA-PBE).
Neutral-atom scattering factors, no anomalous dispersion.

Largest 8 diffraction maxima, by angle, 2θ = 10–90°:
2θ (°)	Rel. int.
17.92	72
24.45	100
26.41	44
32.40	51
34.99	54
36.30	28
37.09	38
37.35	41

Structural model:
```
Nd4Si3S12
1.0
9.632 5.561 2.663
-9.632 5.561 2.663
0.000 -11.122 2.663
Nd Si S
8 6 24
Direct
0.000 0.000 0.000
0.209 0.433 0.974
0.433 0.974 0.209
0.474 0.933 0.709
0.500 0.500 0.500
0.709 0.474 0.933
0.933 0.709 0.474
0.974 0.209 0.433
0.142 0.969 0.355
0.355 0.142 0.969
0.469 0.642 0.855
0.642 0.855 0.469
0.855 0.469 0.642
0.969 0.355 0.142
0.080 0.617 0.349
0.088 0.803 0.122
0.117 0.580 0.849
0.122 0.088 0.803
0.184 0.375 0.189
0.189 0.184 0.375
0.286 0.893 0.820
0.303 0.588 0.622
0.320 0.393 0.786
0.349 0.080 0.617
0.375 0.189 0.184
0.393 0.786 0.320
0.580 0.849 0.117
0.588 0.622 0.303
0.617 0.349 0.080
0.622 0.303 0.588
0.684 0.689 0.875
0.689 0.875 0.684
0.786 0.320 0.393
0.803 0.122 0.088
0.820 0.286 0.893
0.849 0.117 0.580
0.875 0.684 0.689
0.893 0.820 0.286
```